Structure and simulated powder diffraction line list of Zn2CrSnN4 (DFT lattice parameters and positions (GGA-PBE); Cu Kα (λ = 1.5418 Å)).
No peak broadening, texture or thermal motion is included.

```
data_Zn2CrSnN4
_space_group_name_H-M_alt 'I -4 2 m'
_space_group_IT_number 121
_space_group_name_Hall 'I -4 2'
_cell_length_a 4.6846
_cell_length_b 4.6846
_cell_length_c 9.2684
_cell_angle_alpha 90.00
_cell_angle_beta 90.00
_cell_angle_gamma 90.00
loop_
_atom_site_label
_atom_site_fract_x
_atom_site_fract_y
_atom_site_fract_z
Zn1 0.0000 0.5000 0.2500
Cr1 0.0000 0.0000 0.0000
Sn1 0.0000 0.0000 0.5000
N1 0.2269 0.2269 0.8803
```

Most intense lines, 15 to 90 degrees two-theta, by angle:
| d/Å | I_rel | hkl |
| --- | --- | --- |
| 4.181 | 9.9 | 1 0 1 |
| 2.695 | 100.0 | 1 1 2 |
| 2.579 | 4.5 | 1 0 3 |
| 2.342 | 23.1 | 2 0 0 |
| 2.317 | 11.1 | 0 0 4 |
| 2.043 | 4.9 | 2 1 1 |
| 1.656 | 13.8 | 2 2 0 |
| 1.647 | 27.3 | 2 0 4 |
| 1.411 | 25.3 | 3 1 2 |
| 1.400 | 12.4 | 1 1 6 |
| 1.347 | 8.4 | 2 2 4 |
| 1.171 | 4.1 | 4 0 0 |

Structure and simulated powder diffraction line list of YAl2Zn10 (DFT lattice parameters and positions (GGA-PBE); Cu Kα (λ = 1.5418 Å)).
No peak broadening, texture or thermal motion is included.

```
data_YAl2Zn10
_space_group_name_H-M_alt 'P -1'
_space_group_IT_number 2
_space_group_name_Hall '-P 1'
_cell_length_a 5.4019
_cell_length_b 6.7749
_cell_length_c 6.7868
_cell_angle_alpha 81.19
_cell_angle_beta 66.75
_cell_angle_gamma 67.08
loop_
_atom_site_label
_atom_site_fract_x
_atom_site_fract_y
_atom_site_fract_z
Y1 0.0000 0.0000 0.0000
Al1 0.0000 0.0000 0.5000
Al2 0.5000 0.0000 0.5000
Zn1 0.0000 0.5000 0.0000
Zn2 0.0007 0.3546 0.6467
Zn3 0.2827 0.2175 0.2133
Zn4 0.3540 0.6447 0.6464
Zn5 0.4970 0.2179 0.7865
Zn6 0.5000 0.5000 0.0000
```

Most intense lines, 15 to 90 degrees two-theta, by angle:
| d/Å | I_rel | hkl |
| --- | --- | --- |
| 2.701 | 66.5 | 2 1 1 |
| 2.590 | 52.0 | 1 -1 2 |
| 2.575 | 51.5 | 1 2 2 |
| 2.311 | 63.9 | 2 0 0 |
| 2.296 | 64.4 | 2 2 2 |
| 2.238 | 57.4 | 1 -2 1 |
| 2.231 | 56.8 | 1 1 -2 |
| 2.224 | 84.5 | 1 3 0 |
| 2.220 | 28.4 | 1 3 1 |
| 2.205 | 100.0 | 0 2 -2 |
| 2.052 | 27.1 | 2 -1 1 |
| 1.973 | 44.6 | 0 1 3 |

Structure and simulated powder diffraction line list of PrNdTeSe (DFT lattice parameters and positions (GGA-PBE); Cu Kα (λ = 1.5418 Å)).
No peak broadening, texture or thermal motion is included.

```
data_PrNdTeSe
_space_group_name_H-M_alt 'R 3 m'
_space_group_IT_number 160
_space_group_name_Hall 'R 3 -2"'
_cell_length_a 4.3725
_cell_length_b 4.3725
_cell_length_c 21.6444
_cell_angle_alpha 90.00
_cell_angle_beta 90.00
_cell_angle_gamma 120.00
loop_
_atom_site_label
_atom_site_fract_x
_atom_site_fract_y
_atom_site_fract_z
Pr1 0.0000 0.0000 0.0000
Nd1 0.0000 0.0000 0.4784
Te1 0.0000 0.0000 0.2384
Se1 0.0000 0.0000 0.7402
```

Most intense lines, 15 to 90 degrees two-theta, by angle:
| d/Å | I_rel | hkl |
| --- | --- | --- |
| 3.102 | 100.0 | 1 0 4 |
| 2.850 | 6.7 | 0 1 5 |
| 2.201 | 33.5 | 0 1 8 |
| 2.186 | 39.2 | 1 1 0 |
| 1.804 | 4.8 | 0 0 12 |
| 1.787 | 20.1 | 0 2 4 |
| 1.618 | 5.6 | 1 1 9 |
| 1.551 | 11.0 | 2 0 8 |
| 1.391 | 12.1 | 1 1 12 |
| 1.384 | 17.1 | 2 1 4 |
| 1.265 | 11.1 | 1 2 8 |
| 1.262 | 6.6 | 3 0 0 |

Structure and simulated powder diffraction line list of Sm2NpCuSe5 (DFT lattice parameters and positions (GGA-PBE); Cu Kα (λ = 1.5418 Å)).
No peak broadening, texture or thermal motion is included.

```
data_Sm2NpCuSe5
_space_group_name_H-M_alt 'C m c 21'
_space_group_IT_number 36
_space_group_name_Hall 'C 2c -2'
_cell_length_a 4.0458
_cell_length_b 17.7564
_cell_length_c 12.0797
_cell_angle_alpha 90.00
_cell_angle_beta 90.00
_cell_angle_gamma 90.00
loop_
_atom_site_label
_atom_site_fract_x
_atom_site_fract_y
_atom_site_fract_z
Sm1 0.0000 0.1075 0.0000
Sm2 0.0000 0.1213 0.6231
Np1 0.0000 0.1976 0.3246
Cu1 0.0000 0.4361 0.7679
Se1 0.0000 0.0444 0.3754
Se2 0.0000 0.2903 0.9915
Se3 0.0000 0.3163 0.6574
Se4 0.0000 0.3610 0.3162
Se5 0.0000 0.4981 0.0928
```

Most intense lines, 15 to 90 degrees two-theta, by angle:
| d/Å | I_rel | hkl |
| --- | --- | --- |
| 4.994 | 11.6 | 0 2 2 |
| 3.667 | 21.8 | 0 2 3 |
| 2.874 | 45.7 | 0 6 1 |
| 2.818 | 100.0 | 1 1 3 |
| 2.441 | 72.6 | 1 5 2 |
| 2.225 | 10.7 | 1 5 3 |
| 2.115 | 13.1 | 0 6 4 |
| 2.083 | 10.9 | 0 8 2 |
| 2.023 | 34.3 | 2 0 0 |
| 1.872 | 15.6 | 0 6 5 |
| 1.654 | 17.7 | 2 6 1 |
| 1.235 | 12.8 | 3 5 2 |